1.
The following is a calculated XRD peak list of CaTb2Nd5. It was derived from a DFT-relaxed cell (PBE, Alexandria), using copper Kα.
No peak broadening, texture or thermal motion is included.

Unit cell a=6.0754 b=11.7050 c=16.2426 alpha=90.00 beta=90.00 gamma=90.00
Space group Imma (No. 74)
Inequivalent atoms, fractional coordinates:
Ca: 0.0000 0.2500 0.0956 (multiplicity 4)
Tb: 0.0000 0.0000 0.5000 (multiplicity 4)
Tb: 0.2500 0.2500 0.7500 (multiplicity 4)
Nd: 0.0000 0.0640 0.8940 (multiplicity 8)
Nd: 0.0000 0.0808 0.3046 (multiplicity 8)
Nd: 0.0000 0.2500 0.5506 (multiplicity 4)

Main lines, in order of rising 2θ (2θ from 5° to 70°):
2θ 9.3, intensity 18.7, hkl 0 1 1; 2θ 28.2, intensity 26.6, hkl 0 3 3; 2θ 29.4, intensity 100.0, hkl 2 0 0; 2θ 31.2, intensity 53.0, hkl 1 0 5; 2θ 34.7, intensity 22.7, hkl 2 1 3; 2θ 34.9, intensity 29.1, hkl 1 2 5; 2θ 37.9, intensity 18.8, hkl 1 4 3; 2θ 44.4, intensity 20.2, hkl 2 4 2; 2θ 52.1, intensity 27.2, hkl 3 3 2; 2θ 55.1, intensity 24.4, hkl 2 3 7

***

2.
The following is a calculated XRD peak list of Sm4SnBr5. It was derived from a DFT-relaxed cell (PBE, Alexandria), using copper Kα.
No peak broadening, texture or thermal motion is included.

Unit cell a=18.4795 b=4.2148 c=8.7873 alpha=90.00 beta=101.09 gamma=90.00
Space group C2/m (No. 12)
Inequivalent atoms, fractional coordinates:
Sm: 0.0023 0.0000 0.2397 (multiplicity 4)
Sm: 0.1622 0.5000 0.0720 (multiplicity 4)
Sn: 0.0000 0.5000 0.0000 (multiplicity 2)
Br: 0.0000 0.5000 0.5000 (multiplicity 2)
Br: 0.1678 0.0000 0.3156 (multiplicity 4)
Br: 0.1696 0.0000 0.8265 (multiplicity 4)

Main lines, in order of rising 2θ (2θ from 5° to 70°):
2θ 9.8, intensity 17.8, hkl 2 0 0; 2θ 10.3, intensity 48.3, hkl 0 0 1; 2θ 29.4, intensity 100.0, hkl 1 1 -2; 2θ 29.6, intensity 47.6, hkl 6 0 0; 2θ 41.1, intensity 18.1, hkl 2 0 -4; 2θ 41.4, intensity 37.2, hkl 5 1 2; 2θ 42.9, intensity 50.9, hkl 0 2 0; 2θ 50.2, intensity 10.1, hkl 4 0 4; 2θ 53.0, intensity 18.4, hkl 6 2 0; 2θ 60.9, intensity 12.7, hkl 2 2 -4